1.
This entry pairs a crystal structure of Mn3VN3 with its simulated PXRD pattern. Radiation: Cu Kα X-rays. Structure: DFT lattice parameters and positions (GGA-PBE).
Neutral-atom scattering factors, no anomalous dispersion.

The 10 most intense peaks (10 to 90 degrees two-theta), by angle:
- 29.97°, rel. 35
- 30.17°, rel. 69
- 37.98°, rel. 50
- 38.14°, rel. 100
- 46.55°, rel. 38
- 53.33°, rel. 43
- 53.72°, rel. 21
- 56.47°, rel. 19
- 67.66°, rel. 15
- 73.44°, rel. 30

Structure:
Cell lengths 6.8713, 6.8713, 3.9023 Å; angles 90.00, 90.00, 120.44 degrees
Atoms (fractional coordinates):
Mn 0.1538 0.8462 0.7500
Mn 0.1554 0.3101 0.7500
Mn 0.3101 0.1554 0.2500
Mn 0.6899 0.8446 0.7500
Mn 0.8446 0.6899 0.2500
Mn 0.8462 0.1538 0.2500
V 0.3324 0.6676 0.2500
V 0.6676 0.3324 0.7500
N 0.1767 0.8233 0.2500
N 0.1785 0.3545 0.2500
N 0.3545 0.1785 0.7500
N 0.6455 0.8215 0.2500
N 0.8215 0.6455 0.7500
N 0.8233 0.1767 0.7500

2.
This entry pairs a crystal structure of MnVN2 with its simulated PXRD pattern. Radiation: Cu Kα X-rays. Structure: DFT lattice parameters and positions (GGA-PBE).
Neutral-atom scattering factors, no anomalous dispersion.

The 10 most intense peaks (10 to 90 degrees two-theta), by angle:
- 35.37°, rel. 100
- 35.45°, rel. 50
- 37.02°, rel. 51
- 41.58°, rel. 53
- 59.05°, rel. 14
- 59.20°, rel. 28
- 61.28°, rel. 12
- 61.42°, rel. 24
- 71.87°, rel. 17
- 71.96°, rel. 11

Structure:
Cell lengths 3.1200, 3.1230, 5.1775 Å; angles 107.51, 90.00, 119.85 degrees
Atoms (fractional coordinates):
Mn 0.0000 0.0000 0.0000
V 0.5048 0.0094 0.5144
N 0.1309 0.2627 0.3917
N 0.6379 0.2773 0.9141

3.
This entry pairs a crystal structure of Mn4VN4 with its simulated PXRD pattern. Radiation: Cu Kα X-rays. Structure: DFT lattice parameters and positions (GGA-PBE).
Neutral-atom scattering factors, no anomalous dispersion.

The 10 most intense peaks (10 to 90 degrees two-theta), by angle:
- 37.46°, rel. 48
- 38.26°, rel. 47
- 38.62°, rel. 99
- 44.38°, rel. 100
- 44.60°, rel. 50
- 63.51°, rel. 16
- 64.19°, rel. 32
- 65.27°, rel. 31
- 65.61°, rel. 16
- 78.09°, rel. 15

Structure:
Cell lengths 4.9609, 4.9625, 7.6923 Å; angles 84.60, 72.23, 70.00 degrees
Atoms (fractional coordinates):
Mn 0.0466 0.2499 0.3947
Mn 0.2596 0.2411 0.9996
Mn 0.3731 0.7633 0.7845
Mn 0.4506 0.2544 0.6012
Mn 0.5494 0.7456 0.3988
Mn 0.6269 0.2367 0.2155
Mn 0.7404 0.7589 0.0004
Mn 0.9534 0.7501 0.6053
V 0.1491 0.7567 0.2185
V 0.8509 0.2433 0.7815
N 0.1512 0.6470 0.9936
N 0.2006 0.0016 0.6022
N 0.2953 0.4982 0.4031
N 0.4041 0.9985 0.1882
N 0.5959 0.0015 0.8118
N 0.7047 0.5018 0.5969
N 0.7994 0.9984 0.3978
N 0.8488 0.3530 0.0064

4.
This entry pairs a crystal structure of MnWN2 with its simulated PXRD pattern. Radiation: Cu Kα X-rays. Structure: DFT lattice parameters and positions (GGA-PBE).
Neutral-atom scattering factors, no anomalous dispersion.

The 10 most intense peaks (10 to 90 degrees two-theta), by angle:
- 17.24°, rel. 82
- 34.88°, rel. 24
- 35.14°, rel. 100
- 38.37°, rel. 59
- 43.29°, rel. 70
- 49.51°, rel. 18
- 56.75°, rel. 28
- 60.87°, rel. 30
- 72.11°, rel. 19
- 85.26°, rel. 17

Structure:
Cell lengths 3.0437, 3.0437, 10.2891 Å; angles 90.00, 90.00, 120.00 degrees
Atoms (fractional coordinates):
Mn 0.0000 0.0000 0.0000
Mn 0.0000 0.0000 0.5000
W 0.3333 0.6667 0.3065
W 0.6667 0.3333 0.8065
N 0.0000 0.0000 0.1954
N 0.0000 0.0000 0.6954
N 0.3333 0.6667 0.9569
N 0.6667 0.3333 0.4569

5.
This entry pairs a crystal structure of MnZnN2 with its simulated PXRD pattern. Radiation: Cu Kα X-rays. Structure: DFT lattice parameters and positions (GGA-PBE).
Neutral-atom scattering factors, no anomalous dispersion.

The 10 most intense peaks (10 to 90 degrees two-theta), by angle:
- 34.86°, rel. 100
- 40.13°, rel. 21
- 41.16°, rel. 10
- 58.05°, rel. 13
- 58.84°, rel. 26
- 69.53°, rel. 23
- 70.96°, rel. 11
- 73.62°, rel. 7
- 86.65°, rel. 4
- 89.35°, rel. 2

Structure:
Cell lengths 5.4163, 5.4163, 5.4163 Å; angles 130.98, 130.98, 71.85 degrees
Atoms (fractional coordinates):
Mn 0.0000 0.0000 0.0000
Mn 0.7500 0.2500 0.5000
Zn 0.2500 0.7500 0.5000
Zn 0.5000 0.5000 0.0000
N 0.0811 0.1250 0.4561
N 0.3750 0.9189 0.0439
N 0.6689 0.6250 0.5439
N 0.8750 0.3311 0.9561

6.
This entry pairs a crystal structure of MnZn5N4 with its simulated PXRD pattern. Radiation: Cu Kα X-rays. Structure: DFT lattice parameters and positions (GGA-PBE).
Neutral-atom scattering factors, no anomalous dispersion.

The 10 most intense peaks (10 to 90 degrees two-theta), by angle:
- 18.50°, rel. 17
- 34.71°, rel. 91
- 35.83°, rel. 17
- 36.76°, rel. 100
- 37.51°, rel. 22
- 50.03°, rel. 28
- 52.85°, rel. 17
- 57.74°, rel. 17
- 64.17°, rel. 20
- 73.19°, rel. 20

Structure:
Cell lengths 5.9755, 9.2053, 4.7952 Å; angles 90.00, 90.00, 90.00 degrees
Atoms (fractional coordinates):
Mn 0.2500 0.2500 0.2173
Mn 0.7500 0.7500 0.7827
Zn 0.0212 0.6025 0.3160
Zn 0.0212 0.8975 0.3160
Zn 0.2500 0.7500 0.7503
Zn 0.4788 0.6025 0.3160
Zn 0.4788 0.8975 0.3160
Zn 0.5212 0.1025 0.6840
Zn 0.5212 0.3975 0.6840
Zn 0.7500 0.2500 0.2497
Zn 0.9788 0.1025 0.6840
Zn 0.9788 0.3975 0.6840
N 0.0063 0.2500 0.9835
N 0.2500 0.0632 0.4138
N 0.2500 0.4368 0.4138
N 0.4937 0.2500 0.9835
N 0.5063 0.7500 0.0165
N 0.7500 0.5632 0.5862
N 0.7500 0.9368 0.5862
N 0.9937 0.7500 0.0165

7.
This entry pairs a crystal structure of MnZn2N3 with its simulated PXRD pattern. Radiation: Cu Kα X-rays. Structure: DFT lattice parameters and positions (GGA-PBE).
Neutral-atom scattering factors, no anomalous dispersion.

The 10 most intense peaks (10 to 90 degrees two-theta), by angle:
- 32.33°, rel. 45
- 34.21°, rel. 37
- 36.70°, rel. 100
- 47.78°, rel. 20
- 57.61°, rel. 19
- 57.76°, rel. 10
- 62.89°, rel. 30
- 68.74°, rel. 17
- 68.87°, rel. 8
- 70.38°, rel. 10

Structure:
Cell lengths 5.5339, 5.5339, 5.2422 Å; angles 90.00, 90.00, 60.15 degrees
Atoms (fractional coordinates):
Mn 0.1645 0.8355 0.5000
Mn 0.8355 0.1645 0.0000
Zn 0.1682 0.5023 0.0121
Zn 0.4977 0.8318 0.0121
Zn 0.5023 0.1682 0.5121
Zn 0.8318 0.4977 0.5121
N 0.1383 0.8617 0.8528
N 0.1652 0.5309 0.4001
N 0.4691 0.8348 0.4001
N 0.5309 0.1652 0.9001
N 0.8348 0.4691 0.9001
N 0.8617 0.1383 0.3528

8.
This entry pairs a crystal structure of MnZn2N2 with its simulated PXRD pattern. Radiation: Cu Kα X-rays. Structure: DFT lattice parameters and positions (GGA-PBE).
Neutral-atom scattering factors, no anomalous dispersion.

The 10 most intense peaks (10 to 90 degrees two-theta), by angle:
- 29.32°, rel. 45
- 32.62°, rel. 83
- 36.31°, rel. 100
- 36.80°, rel. 53
- 37.63°, rel. 62
- 47.24°, rel. 32
- 48.60°, rel. 34
- 49.86°, rel. 41
- 57.40°, rel. 41
- 68.23°, rel. 26

Structure:
Cell lengths 6.0680, 6.0680, 7.4428 Å; angles 123.20, 123.20, 35.08 degrees
Atoms (fractional coordinates):
Mn 0.1345 0.1345 0.1263
Mn 0.8655 0.8655 0.8737
Zn 0.1731 0.1731 0.7873
Zn 0.4449 0.4449 0.6540
Zn 0.5551 0.5551 0.3460
Zn 0.8269 0.8269 0.2127
N 0.0014 0.0014 0.1943
N 0.3310 0.3310 0.3303
N 0.6690 0.6690 0.6697
N 0.9986 0.9986 0.8057